Starting from a crystal structure in Alexandria, relaxed with GGA-PBE, the X-ray diffraction stick pattern of BaAc3 was simulated for Cu Kα.
No peak broadening, texture or thermal motion is included.

Structure:
```
BaAc3
1.0
4.0811 0.0000 0.0000
0.0000 6.5670 0.0000
0.0000 0.0000 7.1747
Ba Ac
1 3
Cartesian
0.0000 0.0000 0.0000
0.0000 3.2835 4.7460
2.0406 0.0000 3.5916
2.0406 3.2835 1.3091
```

Largest 10 diffraction maxima, in order of falling intensity, 2θ from 5° to 70°:
2theta  I/Imax
28.60  100
28.35  53
27.16  39
25.10  25
52.37  25
48.89  23
52.86  21
43.88  21
53.51  19
37.32  18


Starting from a crystal structure in Alexandria, relaxed with GGA-PBE, the X-ray diffraction stick pattern of BaAcBeN2 was simulated for Cu Kα.
No peak broadening, texture or thermal motion is included.

Structure:
```
BaAcBeN2
1.0
5.3526 0.0000 0.0000
0.0000 5.8546 0.0000
0.0000 0.0000 7.4594
Ba Ac Be N
2 2 2 4
Cartesian
0.0000 0.0000 1.8649
0.0000 0.0000 5.5946
2.6763 2.9273 1.8649
2.6763 2.9273 5.5946
2.6763 0.0000 0.0000
2.6763 0.0000 3.7297
1.8802 1.3117 0.0000
1.8802 4.5429 3.7297
3.4725 1.3117 3.7297
3.4725 4.5429 0.0000
```

Largest 10 diffraction maxima, in order of falling intensity, 2θ from 5° to 70°:
2theta  I/Imax
22.51  100
33.03  85
23.86  37
39.12  28
30.54  22
41.53  22
52.42  21
33.48  19
54.41  19
55.88  18


Starting from a crystal structure in Alexandria, relaxed with GGA-PBE, the X-ray diffraction stick pattern of BaAc2BeO5 was simulated for Cu Kα.
No peak broadening, texture or thermal motion is included.

Structure:
```
BaAc2BeO5
1.0
-3.5685 3.5685 5.4318
3.5685 -3.5685 5.4318
3.5685 3.5685 -5.4318
Ba Ac Be O
2 4 2 10
Cartesian
0.0000 0.0000 2.7159
0.0000 0.0000 8.1478
4.8231 1.2546 0.0000
1.2546 2.3139 0.0000
2.3139 1.2546 5.4318
-1.2546 2.3139 5.4318
3.5685 0.0000 2.7159
0.0000 3.5685 2.7159
0.0000 0.0000 0.0000
4.4933 -0.9248 1.6075
2.6437 -0.9248 3.8243
2.6437 0.9248 1.6075
4.4933 0.9248 3.8243
0.0000 0.0000 5.4318
-0.9248 2.6437 1.6075
0.9248 2.6437 3.8243
0.9248 4.4933 1.6075
-0.9248 4.4933 3.8243
```

Largest 10 diffraction maxima, in order of falling intensity, 2θ from 5° to 70°:
2theta  I/Imax
29.16  100
37.56  84
29.96  84
16.32  53
39.95  37
24.07  34
53.61  33
32.98  32
50.84  28
57.34  27


Starting from a crystal structure in Alexandria, relaxed with GGA-PBE, the X-ray diffraction stick pattern of BaAcBeP2 was simulated for Cu Kα.
No peak broadening, texture or thermal motion is included.

Structure:
```
BaAcBeP2
1.0
7.4891 0.0000 0.0000
0.0000 4.7491 0.0000
-2.6489 0.0000 8.1707
Ba Ac Be P
2 2 2 4
Cartesian
-0.6622 1.1831 2.0427
-1.9866 3.5660 6.1281
1.7579 0.4305 6.1281
3.0823 4.3185 2.0427
3.7445 2.3745 0.0000
2.4201 2.3745 4.0854
-0.6490 1.3863 8.0916
0.6754 3.3628 4.0063
4.1648 1.3863 4.1645
5.4892 3.3628 0.0791
```

Largest 10 diffraction maxima, in order of falling intensity, 2θ from 5° to 70°:
2theta  I/Imax
26.69  100
27.69  77
21.75  65
25.00  52
23.27  50
22.50  47
36.73  42
28.83  37
38.30  33
28.62  32


Starting from a crystal structure in Alexandria, relaxed with GGA-PBE, the X-ray diffraction stick pattern of BaAcBi2 was simulated for Cu Kα.
No peak broadening, texture or thermal motion is included.

Structure:
```
BaAcBi2
1.0
7.0045 0.0000 0.0000
0.0000 7.0417 0.0000
-4.0435 0.0000 13.3200
Ba Ac Bi
4 4 8
Cartesian
0.8089 0.6799 1.7614
-1.2129 6.3618 8.4213
4.1738 0.6799 4.8986
2.1521 6.3618 11.5586
-1.3550 2.7926 11.6575
0.6667 4.2491 4.9975
2.2943 2.7926 8.3225
4.3160 4.2491 1.6625
-1.2177 2.8611 8.2525
0.8040 4.1806 1.5925
0.6980 0.6931 5.4384
-1.3238 6.3485 12.0984
4.2848 0.6931 1.2216
2.2630 6.3485 7.8815
2.1569 2.8611 11.7274
4.1787 4.1806 5.0675
```

Largest 10 diffraction maxima, in order of falling intensity, 2θ from 5° to 70°:
2theta  I/Imax
26.18  100
26.77  97
36.19  97
32.45  80
26.06  58
26.60  50
31.91  47
44.92  46
33.24  42
46.25  39


Starting from a crystal structure in Alexandria, relaxed with GGA-PBE, the X-ray diffraction stick pattern of BaAcBi2 was simulated for Cu Kα.
No peak broadening, texture or thermal motion is included.

Structure:
```
BaAcBi2
1.0
7.0309 0.0000 0.0000
0.0000 7.0312 0.0000
0.0000 0.0000 14.1022
Ba Ac Bi
4 4 8
Cartesian
0.0000 1.7527 1.7637
0.0000 5.2785 12.3385
3.5154 1.7527 5.2874
3.5154 5.2785 8.8148
0.0000 1.7625 8.8143
0.0000 5.2687 5.2879
3.5154 1.7625 12.3390
3.5154 5.2687 1.7632
0.0000 1.7531 5.4144
0.0000 1.7633 12.2148
0.0000 5.2679 1.8873
0.0000 5.2781 8.6877
3.5154 1.7531 1.6366
3.5154 1.7633 8.9384
3.5154 5.2679 5.1638
3.5154 5.2781 12.4655
```

Largest 10 diffraction maxima, in order of falling intensity, 2θ from 5° to 70°:
2theta  I/Imax
25.31  100
36.10  80
44.60  30
58.71  27
64.95  20
58.58  12
52.03  10
64.84  9
14.07  5
51.87  4


Starting from a crystal structure in Alexandria, relaxed with GGA-PBE, the X-ray diffraction stick pattern of BaAc2BiO6 was simulated for Cu Kα.
No peak broadening, texture or thermal motion is included.

Structure:
```
BaAc2BiO6
1.0
5.7849 0.0000 0.0000
0.0000 5.7849 0.0000
0.0000 0.0000 6.1799
Ba Ac Bi O
1 2 1 6
Cartesian
0.0000 0.0000 0.0000
0.0000 2.8925 2.8052
2.8925 0.0000 2.8052
2.8925 2.8925 0.3702
0.0000 0.0000 3.6255
1.5219 1.5219 1.4026
1.5219 4.2631 1.4026
2.8925 2.8925 4.2322
4.2631 1.5219 1.4026
4.2631 4.2631 1.4026
```

Largest 10 diffraction maxima, in order of falling intensity, 2θ from 5° to 70°:
2theta  I/Imax
26.12  100
30.92  34
52.14  31
42.82  26
44.29  18
36.44  14
14.33  14
28.89  12
64.45  12
49.54  10


Starting from a crystal structure in Alexandria, relaxed with GGA-PBE, the X-ray diffraction stick pattern of BaAcIrBr was simulated for Cu Kα.
No peak broadening, texture or thermal motion is included.

Structure:
```
BaAcIrBr
1.0
4.3922 0.0000 0.0000
-2.1961 3.8037 0.0000
0.0000 0.0000 25.1831
Ba Ac Ir Br
3 3 3 3
Cartesian
0.0000 0.0000 0.0000
0.0000 2.5358 16.7887
2.1961 1.2679 8.3944
0.0000 0.0000 20.1702
0.0000 2.5358 11.7758
2.1961 1.2679 3.3814
0.0000 0.0000 10.3163
0.0000 2.5358 1.9219
2.1961 1.2679 18.7107
0.0000 0.0000 5.8251
0.0000 2.5358 22.6138
2.1961 1.2679 14.2194
```

Largest 10 diffraction maxima, in order of falling intensity, 2θ from 5° to 70°:
2theta  I/Imax
29.43  100
10.54  56
41.10  45
24.45  37
43.08  31
51.35  22
34.31  21
67.79  19
61.07  19
42.55  13


Starting from a crystal structure in Alexandria, relaxed with GGA-PBE, the X-ray diffraction stick pattern of BaAcBrN was simulated for Cu Kα.
No peak broadening, texture or thermal motion is included.

Structure:
```
BaAcBrN
1.0
4.0951 0.0000 0.0000
-2.0475 3.5464 0.0000
0.0000 0.0000 24.0816
Ba Ac Br N
3 3 3 3
Cartesian
0.0000 0.0000 0.0000
0.0000 2.3643 16.0544
2.0475 1.1821 8.0272
0.0000 0.0000 19.0639
0.0000 2.3643 11.0367
2.0475 1.1821 3.0095
0.0000 0.0000 5.4778
0.0000 2.3643 21.5322
2.0475 1.1821 13.5050
0.0000 0.0000 10.0936
0.0000 2.3643 2.0664
2.0475 1.1821 18.1208
```

Largest 10 diffraction maxima, in order of falling intensity, 2θ from 5° to 70°:
2theta  I/Imax
31.32  100
29.23  79
25.39  51
44.24  46
56.60  37
33.49  27
11.02  26
26.20  25
45.53  21
55.20  20


Starting from a crystal structure in Alexandria, relaxed with GGA-PBE, the X-ray diffraction stick pattern of BaAc3C8 was simulated for Cu Kα.
No peak broadening, texture or thermal motion is included.

Structure:
```
BaAc3C8
1.0
0.0000 5.4851 4.2714
5.4668 0.0000 4.2714
5.4668 5.4851 0.0000
Ba Ac C
1 3 8
Cartesian
0.0000 0.0000 0.0000
2.7334 2.7426 2.1490
5.4668 5.4851 4.2660
8.2003 8.2277 6.4204
5.4668 3.5125 2.1355
7.9802 5.4851 2.9261
5.4668 2.9657 5.5955
5.4668 7.4578 2.1355
7.4300 5.4851 6.3830
2.9535 5.4851 2.9261
5.4668 8.0046 5.5955
3.5037 5.4851 6.3830
```

Largest 10 diffraction maxima, in order of falling intensity, 2θ from 5° to 70°:
2theta  I/Imax
26.46  100
42.55  61
22.97  58
48.69  20
32.65  17
32.76  17
65.19  16
54.49  14
46.93  12
65.02  8


Starting from a crystal structure in Alexandria, relaxed with GGA-PBE, the X-ray diffraction stick pattern of Ba5Ca6Ac was simulated for Cu Kα.
No peak broadening, texture or thermal motion is included.

Structure:
```
Ba5Ca6Ac
1.0
-3.2865 4.6920 9.8448
3.2865 -4.6920 9.8448
3.2865 4.6920 -9.8448
Ba Ca Ac
5 6 1
Cartesian
0.0000 0.0000 0.0000
3.2865 0.0000 3.2196
0.0000 0.0000 6.5368
0.0000 0.0000 13.1528
0.0000 4.6920 6.6252
3.2865 -2.2569 6.6341
3.2865 2.5063 0.0000
0.0000 2.4351 3.2107
3.2865 2.2569 6.6341
0.0000 2.1856 9.8448
0.0000 6.9489 3.2107
0.0000 4.6920 0.0000
```

Largest 10 diffraction maxima, in order of falling intensity, 2θ from 5° to 70°:
2theta  I/Imax
27.01  100
27.15  50
47.90  40
19.11  33
47.64  20
38.78  19
33.30  18
18.91  17
63.27  13
55.69  13


Starting from a crystal structure in Alexandria, relaxed with GGA-PBE, the X-ray diffraction stick pattern of Ba6Ca2Ac was simulated for Cu Kα.
No peak broadening, texture or thermal motion is included.

Structure:
```
Ba6Ca2Ac
1.0
6.8315 -2.0247 0.0000
6.8315 2.0247 0.0000
-2.4114 0.0000 18.2766
Ba Ca Ac
6 2 1
Cartesian
0.0996 0.0000 4.1335
3.6630 0.0000 1.9362
3.8355 0.0000 10.2448
7.4162 0.0000 8.0318
7.5886 0.0000 16.3404
11.1521 0.0000 14.1431
3.7628 0.0000 6.1131
7.4889 0.0000 12.1635
0.0000 0.0000 0.0000
```

Largest 10 diffraction maxima, in order of falling intensity, 2θ from 5° to 70°:
2theta  I/Imax
26.14  100
29.64  85
24.89  59
23.26  48
34.33  36
46.88  33
52.57  29
44.61  23
52.04  23
25.27  22